Entry 1:
Diffraction record for Sr4InHg2. The PXRD pattern is theoretical, not measured: it uses a DFT-relaxed cell (GGA-PBE, Alexandria) and Cu Kα X-rays.

Peak list (12 most intense, 15 to 90 degrees two-theta, sorted by position)
| d/Å | Position (°2θ) | I_rel |
| --- | --- | --- |
| 4.841 | 18.3 | 3 |
| 4.637 | 19.1 | 23 |
| 4.016 | 22.1 | 4 |
| 2.840 | 31.5 | 100 |
| 2.422 | 37.1 | 14 |
| 2.008 | 45.2 | 18 |
| 1.843 | 49.5 | 6 |
| 1.639 | 56.1 | 39 |
| 1.546 | 59.8 | 5 |
| 1.420 | 65.8 | 12 |
| 1.358 | 69.2 | 5 |
| 1.270 | 74.8 | 17 |

Cell and atoms:
Cell lengths 9.8437, 9.8437, 9.8437 Å; angles 33.52, 33.52, 33.52 degrees
Fractional coordinates of all 7 atoms:
Sr 0.1242 0.1242 0.1242
Sr 0.3752 0.3752 0.3752
Sr 0.6248 0.6248 0.6248
Sr 0.8758 0.8758 0.8758
In 0.5000 0.5000 0.5000
Hg 0.2500 0.2500 0.2500
Hg 0.7500 0.7500 0.7500



Entry 2:
Diffraction record for Sr3In4Hg4. The PXRD pattern is theoretical, not measured: it uses a DFT-relaxed cell (GGA-PBE, Alexandria) and Cu Kα X-rays.

Peak list (12 most intense, 15 to 90 degrees two-theta, sorted by position)
| d/Å | Position (°2θ) | I_rel |
| --- | --- | --- |
| 4.529 | 19.6 | 31 |
| 4.084 | 21.8 | 52 |
| 3.124 | 28.6 | 31 |
| 3.016 | 29.6 | 55 |
| 2.949 | 30.3 | 100 |
| 2.519 | 35.6 | 60 |
| 2.459 | 36.5 | 100 |
| 2.223 | 40.6 | 47 |
| 2.060 | 44.0 | 33 |
| 1.934 | 47.0 | 25 |
| 1.596 | 57.8 | 23 |
| 1.580 | 58.4 | 35 |

Cell and atoms:
Cell lengths 4.1195, 5.0387, 15.8285 Å; angles 99.09, 97.39, 90.04 degrees
Fractional coordinates of all 11 atoms:
Sr 0.0000 0.0000 0.0000
Sr 0.1452 0.6437 0.2889
Sr 0.8548 0.3563 0.7111
In 0.2590 0.2592 0.5165
In 0.4054 0.9075 0.8135
In 0.5946 0.0925 0.1865
In 0.7410 0.7408 0.4835
Hg 0.3133 0.8150 0.6281
Hg 0.4507 0.4528 0.9046
Hg 0.5493 0.5472 0.0954
Hg 0.6867 0.1850 0.3719